No. 1
Li9Ge4: computed powder X-ray diffraction pattern (λ = 1.5418 Å (Cu Kα)), based on a GGA-PBE-relaxed structure.
Intensities are scaled so that the largest is 100.

Structural model:
```
data_Li9Ge4
_symmetry_space_group_name_H-M 'P 1'
_symmetry_Int_Tables_number 1
_symmetry_space_group_name_Hall 'P 1'
_cell_length_a 4.4617
_cell_length_b 4.4617
_cell_length_c 23.7333
_cell_angle_alpha 90.00
_cell_angle_beta 90.00
_cell_angle_gamma 120.03
loop_
_atom_site_label
_atom_site_type_symbol
_atom_site_fract_x
_atom_site_fract_y
_atom_site_fract_z
Li1 Li 0.0011 0.9989 0.6751
Li2 Li 0.0011 0.9989 0.8249
Li3 Li 0.3323 0.6677 0.0933
Li4 Li 0.3323 0.6677 0.4067
Li5 Li 0.3337 0.6663 0.5169
Li6 Li 0.3342 0.6658 0.7500
Li7 Li 0.3337 0.6663 0.9831
Li8 Li 0.3347 0.6653 0.6317
Li9 Li 0.3347 0.6653 0.8683
Li10 Li 0.6653 0.3347 0.1317
Li11 Li 0.6653 0.3347 0.3683
Li12 Li 0.6663 0.3337 0.0169
Li13 Li 0.6658 0.3342 0.2500
Li14 Li 0.6663 0.3337 0.4831
Li15 Li 0.6677 0.3323 0.5933
Li16 Li 0.6677 0.3323 0.9067
Li17 Li 0.9989 0.0011 0.1751
Li18 Li 0.9989 0.0011 0.3249
Ge1 Ge 0.0006 0.9994 0.5543
Ge2 Ge 0.0006 0.9994 0.9457
Ge3 Ge 0.3323 0.6677 0.1993
Ge4 Ge 0.3323 0.6677 0.3007
Ge5 Ge 0.6677 0.3323 0.6993
Ge6 Ge 0.6677 0.3323 0.8007
Ge7 Ge 0.9994 0.0006 0.0543
Ge8 Ge 0.9994 0.0006 0.4457
```

Peak list (6 most intense, 2θ from 15° to 90°, most intense first)
2θ/deg, I_rel
24.23, 100
40.44, 55
23.33, 53
44.82, 34
51.24, 28
30.12, 21


No. 2
Li5MgGe2: computed powder X-ray diffraction pattern (λ = 1.5418 Å (Cu Kα)), based on a GGA-PBE-relaxed structure.
Intensities are scaled so that the largest is 100.

Structural model:
```
data_Li5MgGe2
_symmetry_space_group_name_H-M 'P 1'
_symmetry_Int_Tables_number 1
_symmetry_space_group_name_Hall 'P 1'
_cell_length_a 4.7223
_cell_length_b 4.7223
_cell_length_c 16.3619
_cell_angle_alpha 90.00
_cell_angle_beta 90.00
_cell_angle_gamma 120.00
loop_
_atom_site_label
_atom_site_type_symbol
_atom_site_fract_x
_atom_site_fract_y
_atom_site_fract_z
Li1 Li 0.0000 0.0000 0.1248
Li2 Li 0.0000 0.0000 0.3752
Li3 Li 0.0000 0.0000 0.6248
Li4 Li 0.0000 0.0000 0.8752
Li5 Li 0.3333 0.6667 0.0629
Li6 Li 0.3333 0.6667 0.2500
Li7 Li 0.3333 0.6667 0.4371
Li8 Li 0.6667 0.3333 0.5629
Li9 Li 0.6667 0.3333 0.7500
Li10 Li 0.6667 0.3333 0.9371
Mg1 Mg 0.3333 0.6667 0.7500
Mg2 Mg 0.6667 0.3333 0.2500
Ge1 Ge 0.3333 0.6667 0.5969
Ge2 Ge 0.3333 0.6667 0.9031
Ge3 Ge 0.6667 0.3333 0.0969
Ge4 Ge 0.6667 0.3333 0.4031
```

Peak list (6 most intense, 2θ from 15° to 90°, most intense first)
2θ/deg, I_rel
22.41, 100
27.26, 77
21.73, 70
38.11, 64
44.66, 54
51.17, 38


No. 3
LiMgGe2Pd2: computed powder X-ray diffraction pattern (λ = 1.5418 Å (Cu Kα)), based on a GGA-PBE-relaxed structure.
Intensities are scaled so that the largest is 100.

Structural model:
```
data_LiMgGe2Pd2
_symmetry_space_group_name_H-M 'P 1'
_symmetry_Int_Tables_number 1
_symmetry_space_group_name_Hall 'P 1'
_cell_length_a 4.3743
_cell_length_b 4.3743
_cell_length_c 5.8254
_cell_angle_alpha 90.00
_cell_angle_beta 90.00
_cell_angle_gamma 120.00
loop_
_atom_site_label
_atom_site_type_symbol
_atom_site_fract_x
_atom_site_fract_y
_atom_site_fract_z
Li1 Li 0.0000 0.0000 0.0000
Mg1 Mg 0.0000 0.0000 0.5000
Ge1 Ge 0.3333 0.6667 0.7765
Ge2 Ge 0.6667 0.3333 0.2235
Pd1 Pd 0.3333 0.6667 0.2429
Pd2 Pd 0.6667 0.3333 0.7571
```

Peak list (6 most intense, 2θ from 15° to 90°, most intense first)
2θ/deg, I_rel
41.28, 100
52.31, 67
39.01, 66
23.48, 66
30.70, 51
78.98, 24


No. 4
Li2Mn2Ge2N: computed powder X-ray diffraction pattern (λ = 1.5418 Å (Cu Kα)), based on a GGA-PBE-relaxed structure.
Intensities are scaled so that the largest is 100.

Structural model:
```
data_Li2Mn2Ge2N
_symmetry_space_group_name_H-M 'P 1'
_symmetry_Int_Tables_number 1
_symmetry_space_group_name_Hall 'P 1'
_cell_length_a 3.7513
_cell_length_b 3.7513
_cell_length_c 13.3713
_cell_angle_alpha 90.00
_cell_angle_beta 90.00
_cell_angle_gamma 90.00
loop_
_atom_site_label
_atom_site_type_symbol
_atom_site_fract_x
_atom_site_fract_y
_atom_site_fract_z
Li1 Li 0.0000 0.0000 0.1656
Li2 Li 0.0000 0.0000 0.8344
Li3 Li 0.5000 0.5000 0.3344
Li4 Li 0.5000 0.5000 0.6656
Mn1 Mn 0.0000 0.5000 0.0000
Mn2 Mn 0.0000 0.5000 0.5000
Mn3 Mn 0.5000 0.0000 0.0000
Mn4 Mn 0.5000 0.0000 0.5000
Ge1 Ge 0.0000 0.0000 0.3683
Ge2 Ge 0.0000 0.0000 0.6317
Ge3 Ge 0.5000 0.5000 0.1317
Ge4 Ge 0.5000 0.5000 0.8683
N1 N 0.0000 0.0000 0.0000
N2 N 0.5000 0.5000 0.5000
```

Peak list (6 most intense, 2θ from 15° to 90°, most intense first)
2θ/deg, I_rel
43.56, 100
31.16, 60
24.65, 49
48.54, 45
36.44, 35
87.19, 25


No. 5
Li4MnGe2S7: computed powder X-ray diffraction pattern (λ = 1.5418 Å (Cu Kα)), based on a GGA-PBE-relaxed structure.
Intensities are scaled so that the largest is 100.

Structural model:
```
data_Li4MnGe2S7
_symmetry_space_group_name_H-M 'P 1'
_symmetry_Int_Tables_number 1
_symmetry_space_group_name_Hall 'P 1'
_cell_length_a 9.1825
_cell_length_b 9.1825
_cell_length_c 10.2157
_cell_angle_alpha 94.22
_cell_angle_beta 94.22
_cell_angle_gamma 43.05
loop_
_atom_site_label
_atom_site_type_symbol
_atom_site_fract_x
_atom_site_fract_y
_atom_site_fract_z
Li1 Li 0.1149 0.4441 0.4259
Li2 Li 0.1466 0.8534 0.5000
Li3 Li 0.3943 0.7398 0.8467
Li4 Li 0.4441 0.1149 0.9259
Li5 Li 0.5244 0.8924 0.5655
Li6 Li 0.7398 0.3943 0.3467
Li7 Li 0.8534 0.1466 0.0000
Li8 Li 0.8924 0.5244 0.0655
Mn1 Mn 0.2497 0.6032 0.1471
Mn2 Mn 0.6032 0.2497 0.6471
Ge1 Ge 0.0245 0.6770 0.7860
Ge2 Ge 0.3035 0.9707 0.2263
Ge3 Ge 0.6770 0.0245 0.2860
Ge4 Ge 0.9707 0.3035 0.7263
S1 S 0.0248 0.7447 0.3325
S2 S 0.0277 0.3162 0.2589
S3 S 0.1470 0.4985 0.9709
S4 S 0.2333 0.8494 0.0619
S5 S 0.2755 0.6200 0.6922
S6 S 0.3162 0.0277 0.7589
S7 S 0.4353 0.7697 0.3971
S8 S 0.4985 0.1470 0.4709
S9 S 0.5711 0.9127 0.1365
S10 S 0.6200 0.2755 0.1922
S11 S 0.7447 0.0248 0.8325
S12 S 0.7697 0.4353 0.8971
S13 S 0.8494 0.2333 0.5619
S14 S 0.9127 0.5711 0.6365
```

Peak list (6 most intense, 2θ from 15° to 90°, most intense first)
2θ/deg, I_rel
16.39, 100
26.16, 81
28.37, 74
46.51, 63
17.42, 57
30.08, 48


No. 6
LiMnGe2Se6: computed powder X-ray diffraction pattern (λ = 1.5418 Å (Cu Kα)), based on a GGA-PBE-relaxed structure.
Intensities are scaled so that the largest is 100.

Structural model:
```
data_LiMnGe2Se6
_symmetry_space_group_name_H-M 'P 1'
_symmetry_Int_Tables_number 1
_symmetry_space_group_name_Hall 'P 1'
_cell_length_a 8.8900
_cell_length_b 8.8900
_cell_length_c 6.7252
_cell_angle_alpha 103.07
_cell_angle_beta 103.07
_cell_angle_gamma 85.31
loop_
_atom_site_label
_atom_site_type_symbol
_atom_site_fract_x
_atom_site_fract_y
_atom_site_fract_z
Li1 Li 0.1233 0.8767 0.7500
Li2 Li 0.8767 0.1233 0.2500
Mn1 Mn 0.2235 0.7765 0.2500
Mn2 Mn 0.7765 0.2235 0.7500
Ge1 Ge 0.2157 0.3844 0.7694
Ge2 Ge 0.3844 0.2157 0.2694
Ge3 Ge 0.6156 0.7843 0.7306
Ge4 Ge 0.7843 0.6156 0.2306
Se1 Se 0.0330 0.1802 0.6480
Se2 Se 0.1014 0.6276 0.9056
Se3 Se 0.1802 0.0330 0.1480
Se4 Se 0.3042 0.4505 0.4860
Se5 Se 0.3724 0.8986 0.5944
Se6 Se 0.4505 0.3042 0.9860
Se7 Se 0.5495 0.6958 0.0140
Se8 Se 0.6276 0.1014 0.4056
Se9 Se 0.6958 0.5495 0.5140
Se10 Se 0.8198 0.9670 0.8520
Se11 Se 0.8986 0.3724 0.0944
Se12 Se 0.9670 0.8198 0.3520
```

Peak list (6 most intense, 2θ from 15° to 90°, most intense first)
2θ/deg, I_rel
20.25, 100
27.16, 92
28.31, 87
31.16, 84
48.74, 72
45.15, 52